Record 1
Diffraction record for Sc2Bi2S7. The X-ray powder pattern is theoretical, not measured: it uses a GGA-PBE-relaxed structure and CuKα.
No peak broadening, texture or thermal motion is included.

Largest 10 diffraction maxima, sorted by position, 10° ≤ 2θ ≤ 80°:
| index | 2θ (°) | I (rel.) |
| --- | --- | --- |
| 0 2 0 | 12.0 | 65 |
| 0 0 2 | 19.0 | 30 |
| 0 2 2 | 22.5 | 100 |
| 0 4 0 | 24.0 | 34 |
| 1 0 1 | 25.0 | 46 |
| 1 2 1 | 27.8 | 86 |
| 0 4 2 | 30.8 | 35 |
| 1 4 1 | 35.0 | 52 |
| 1 0 3 | 37.2 | 46 |
| 1 4 3 | 44.7 | 61 |

Structure:
a = 3.8504 Å, b = 14.8028 Å, c = 9.3295 Å
α = 90.00°, β = 90.00°, γ = 90.00°
Space group Imm2 (No. 44)
Symmetry-distinct sites (fractional):
Sc 0.0000 0.0000 0.0000 [2 per cell]
Sc 0.0000 0.5000 0.0601 [2 per cell]
Bi 0.0000 0.2312 0.3294 [4 per cell]
S 0.0000 0.1167 0.5409 [4 per cell]
S 0.0000 0.1842 0.9631 [4 per cell]
S 0.0000 0.4296 0.6751 [4 per cell]
S 0.0000 0.5000 0.3183 [2 per cell]

***

Record 2
Diffraction record for ScBiS2. The X-ray powder pattern is theoretical, not measured: it uses a GGA-PBE-relaxed structure and CuKα.
No peak broadening, texture or thermal motion is included.

Largest 10 diffraction maxima, sorted by position, 10° ≤ 2θ ≤ 80°:
| index | 2θ (°) | I (rel.) |
| --- | --- | --- |
| 2 0 0 | 10.5 | 100 |
| 4 0 0 | 21.1 | 71 |
| 0 0 2 | 27.9 | 36 |
| 1 1 -1 | 28.1 | 58 |
| 2 0 -2 | 28.6 | 52 |
| 1 1 1 | 28.8 | 88 |
| 3 1 -1 | 31.4 | 34 |
| 6 0 0 | 31.8 | 29 |
| 5 1 1 | 40.1 | 47 |
| 7 1 -1 | 45.7 | 33 |

Structure:
a = 17.0063 Å, b = 3.6820 Å, c = 6.4413 Å
α = 90.00°, β = 97.25°, γ = 90.00°
Space group C2/c (No. 15)
Symmetry-distinct sites (fractional):
Sc 0.2500 0.2500 0.0000 [4 per cell]
Bi 0.0000 0.1794 0.2500 [4 per cell]
S 0.1652 0.2463 0.3041 [8 per cell]

***

Record 3
Diffraction record for Bi4Se3S3. The X-ray powder pattern is theoretical, not measured: it uses a GGA-PBE-relaxed structure and CuKα.
No peak broadening, texture or thermal motion is included.

Largest 10 diffraction maxima, sorted by position, 10° ≤ 2θ ≤ 80°:
| index | 2θ (°) | I (rel.) |
| --- | --- | --- |
| 0 1 3 | 23.5 | 53 |
| 0 3 1 | 24.6 | 30 |
| 1 2 1 | 27.8 | 100 |
| 1 2 2 | 30.7 | 55 |
| 1 3 0 | 32.1 | 23 |
| 0 2 4 | 33.7 | 26 |
| 1 1 4 | 37.9 | 25 |
| 2 0 0 | 44.2 | 31 |
| 1 4 3 | 44.9 | 39 |
| 1 0 6 | 50.7 | 30 |

Structure:
a = 4.0953 Å, b = 11.3954 Å, c = 12.0317 Å
α = 90.00°, β = 90.00°, γ = 90.00°
Space group Pmc2_1 (No. 26)
Symmetry-distinct sites (fractional):
Bi 0.0000 0.0804 0.0000 [2 per cell]
Bi 0.0000 0.2888 0.3178 [2 per cell]
Bi 0.5000 0.2089 0.6302 [2 per cell]
Bi 0.5000 0.4116 0.9573 [2 per cell]
Se 0.0000 0.3842 0.5277 [2 per cell]
Se 0.5000 0.1127 0.4209 [2 per cell]
Se 0.5000 0.4522 0.2561 [2 per cell]
S 0.0000 0.0569 0.6855 [2 per cell]
S 0.0000 0.2975 0.8571 [2 per cell]
S 0.5000 0.1967 0.0996 [2 per cell]

***

Record 4
Diffraction record for BiSeS4. The X-ray powder pattern is theoretical, not measured: it uses a GGA-PBE-relaxed structure and CuKα.
No peak broadening, texture or thermal motion is included.

Largest 10 diffraction maxima, sorted by position, 10° ≤ 2θ ≤ 80°:
| index | 2θ (°) | I (rel.) |
| --- | --- | --- |
| 1 1 0 | 14.3 | 100 |
| 2 0 0 | 22.3 | 16 |
| 1 1 -2 | 26.6 | 28 |
| 3 1 -2 | 27.4 | 33 |
| 1 3 0 | 29.4 | 28 |
| 0 0 2 | 31.4 | 38 |
| 4 0 -2 | 32.8 | 33 |
| 3 1 0 | 34.9 | 19 |
| 0 4 0 | 36.4 | 27 |
| 3 3 -1 | 37.6 | 16 |

Structure:
a = 10.9246 Å, b = 9.8593 Å, c = 7.8009 Å
α = 90.00°, β = 133.01°, γ = 90.00°
Space group C2/c (No. 15)
Symmetry-distinct sites (fractional):
Bi 0.0000 0.0217 0.2500 [4 per cell]
Se 0.0000 0.2689 0.7500 [4 per cell]
S 0.1836 0.2700 0.1812 [8 per cell]
S 0.2288 0.4731 0.2452 [8 per cell]

***

Record 5
Diffraction record for BiSeS2. The X-ray powder pattern is theoretical, not measured: it uses a GGA-PBE-relaxed structure and CuKα.
No peak broadening, texture or thermal motion is included.

Largest 10 diffraction maxima, sorted by position, 10° ≤ 2θ ≤ 80°:
| index | 2θ (°) | I (rel.) |
| --- | --- | --- |
| 0 1 0 | 13.5 | 100 |
| 1 0 1 | 23.7 | 32 |
| 0 1 2 | 24.4 | 42 |
| 1 1 -1 | 25.7 | 55 |
| 1 -1 1 | 30.5 | 55 |
| 1 2 -1 | 33.8 | 27 |
| 0 1 3 | 34.6 | 22 |
| 2 1 0 | 41.3 | 22 |
| 2 0 0 | 42.3 | 22 |
| 1 1 -3 | 42.4 | 26 |

Structure:
a = 4.3942 Å, b = 6.8057 Å, c = 8.0390 Å
α = 81.14°, β = 88.34°, γ = 76.61°
Space group P-1 (No. 2)
Symmetry-distinct sites (fractional):
Bi 0.2327 0.4749 0.2167 [2 per cell]
Se 0.3141 0.2717 0.9344 [2 per cell]
S 0.1219 0.8301 0.6689 [2 per cell]
S 0.2850 0.8134 0.4373 [2 per cell]

***

Record 6
Diffraction record for Bi3Se2S. The X-ray powder pattern is theoretical, not measured: it uses a GGA-PBE-relaxed structure and CuKα.
No peak broadening, texture or thermal motion is included.

Largest 10 diffraction maxima, sorted by position, 10° ≤ 2θ ≤ 80°:
| index | 2θ (°) | I (rel.) |
| --- | --- | --- |
| 0 0 2 | 20.7 | 34 |
| 0 3 1 | 24.3 | 90 |
| 1 0 1 | 25.8 | 100 |
| 1 3 0 | 32.4 | 22 |
| 0 3 3 | 38.5 | 43 |
| 1 3 2 | 38.8 | 92 |
| 1 0 3 | 39.6 | 25 |
| 1 6 1 | 52.3 | 23 |
| 2 3 1 | 54.8 | 20 |
| 2 3 3 | 63.4 | 21 |

Structure:
a = 3.7676 Å, b = 12.1645 Å, c = 8.5680 Å
α = 90.00°, β = 90.00°, γ = 90.00°
Space group Imm2 (No. 44)
Symmetry-distinct sites (fractional):
Bi 0.0000 0.0000 0.0000 [2 per cell]
Bi 0.0000 0.3507 0.0039 [4 per cell]
Se 0.0000 0.1743 0.2227 [4 per cell]
S 0.0000 0.5000 0.2476 [2 per cell]

***

Record 7
Diffraction record for SmBiS3. The X-ray powder pattern is theoretical, not measured: it uses a GGA-PBE-relaxed structure and CuKα.
No peak broadening, texture or thermal motion is included.

Largest 10 diffraction maxima, sorted by position, 10° ≤ 2θ ≤ 80°:
| index | 2θ (°) | I (rel.) |
| --- | --- | --- |
| 0 2 1 | 23.4 | 100 |
| 0 0 2 | 24.2 | 40 |
| 1 1 1 | 26.4 | 65 |
| 1 1 2 | 33.9 | 37 |
| 1 3 0 | 37.2 | 34 |
| 0 2 3 | 42.1 | 18 |
| 2 0 0 | 43.0 | 17 |
| 1 1 3 | 43.9 | 24 |
| 1 3 2 | 44.9 | 31 |
| 2 2 1 | 49.6 | 22 |

Structure:
a = 4.2027 Å, b = 8.8653 Å, c = 7.3587 Å
α = 90.00°, β = 90.00°, γ = 90.00°
Space group Pmc2_1 (No. 26)
Symmetry-distinct sites (fractional):
Sm 0.0000 0.1244 0.0000 [2 per cell]
Bi 0.5000 0.3344 0.5455 [2 per cell]
S 0.0000 0.1711 0.6286 [2 per cell]
S 0.5000 0.0911 0.2773 [2 per cell]
S 0.5000 0.3472 0.9287 [2 per cell]

***

Record 8
Diffraction record for Sm2Bi2S7. The X-ray powder pattern is theoretical, not measured: it uses a GGA-PBE-relaxed structure and CuKα.
No peak broadening, texture or thermal motion is included.

Largest 10 diffraction maxima, sorted by position, 10° ≤ 2θ ≤ 80°:
| index | 2θ (°) | I (rel.) |
| --- | --- | --- |
| 0 2 2 | 23.4 | 100 |
| 1 0 1 | 24.0 | 49 |
| 0 4 0 | 26.1 | 38 |
| 1 2 1 | 27.4 | 77 |
| 1 4 1 | 35.8 | 67 |
| 1 0 3 | 36.8 | 31 |
| 1 2 3 | 39.2 | 29 |
| 0 6 2 | 44.5 | 31 |
| 2 0 0 | 44.7 | 29 |
| 1 4 3 | 45.7 | 30 |

Structure:
a = 4.0568 Å, b = 13.6473 Å, c = 9.1607 Å
α = 90.00°, β = 90.00°, γ = 90.00°
Space group Imm2 (No. 44)
Symmetry-distinct sites (fractional):
Sm 0.0000 0.2306 0.0000 [4 per cell]
Bi 0.0000 0.0000 0.7122 [2 per cell]
Bi 0.0000 0.5000 0.7657 [2 per cell]
S 0.0000 0.0000 0.0669 [2 per cell]
S 0.0000 0.1215 0.4738 [4 per cell]
S 0.0000 0.3044 0.7068 [4 per cell]
S 0.0000 0.3597 0.2914 [4 per cell]

***

Record 9
Diffraction record for Sm4BiS2. The X-ray powder pattern is theoretical, not measured: it uses a GGA-PBE-relaxed structure and CuKα.
No peak broadening, texture or thermal motion is included.

Largest 10 diffraction maxima, sorted by position, 10° ≤ 2θ ≤ 80°:
| index | 2θ (°) | I (rel.) |
| --- | --- | --- |
| 0 2 4 | 29.3 | 65 |
| 1 1 3 | 29.7 | 60 |
| 0 4 2 | 29.8 | 23 |
| 1 3 1 | 30.1 | 100 |
| 1 3 2 | 32.2 | 36 |
| 1 1 5 | 39.9 | 22 |
| 2 0 0 | 43.2 | 25 |
| 2 2 4 | 53.1 | 26 |
| 1 3 7 | 55.9 | 22 |
| 2 0 8 | 71.1 | 18 |

Structure:
a = 4.1878 Å, b = 13.3153 Å, c = 13.6871 Å
α = 90.00°, β = 90.00°, γ = 90.00°
Space group Cmcm (No. 63)
Symmetry-distinct sites (fractional):
Sm 0.0000 0.0000 0.0000 [4 per cell]
Sm 0.0000 0.2619 0.1134 [8 per cell]
Sm 0.0000 0.4328 0.7500 [4 per cell]
Bi 0.0000 0.1112 0.7500 [4 per cell]
S 0.0000 0.3684 0.5592 [8 per cell]

***

Record 10
Diffraction record for SnBiS3. The X-ray powder pattern is theoretical, not measured: it uses a GGA-PBE-relaxed structure and CuKα.
No peak broadening, texture or thermal motion is included.

Largest 10 diffraction maxima, sorted by position, 10° ≤ 2θ ≤ 80°:
| index | 2θ (°) | I (rel.) |
| --- | --- | --- |
| 0 0 2 | 15.4 | 100 |
| 0 1 2 | 20.1 | 29 |
| 0 2 0 | 25.8 | 41 |
| 0 2 1 | 26.9 | 23 |
| 1 1 0 | 28.6 | 61 |
| 0 2 2 | 30.2 | 25 |
| 1 1 2 | 32.7 | 70 |
| 0 2 3 | 35.0 | 33 |
| 1 1 3 | 37.2 | 35 |
| 1 2 2 | 39.9 | 38 |

Structure:
a = 3.4922 Å, b = 6.9139 Å, c = 11.4722 Å
α = 90.00°, β = 90.00°, γ = 90.00°
Space group Pmmn (No. 59, origin choice 2)
Symmetry-distinct sites (fractional):
Sn 0.2500 0.2500 0.2461 [2 per cell]
Bi 0.2500 0.2500 0.8246 [2 per cell]
S 0.2500 0.5076 0.6581 [4 per cell]
S 0.2500 0.7500 0.9186 [2 per cell]